Starting from the PBE geometry in Alexandria, the X-ray diffraction stick pattern of Tb2Th2ZnGa4 was simulated for Cu Kα, 1.54184 Å.
Kinematic intensities with the Lorentz-polarization factor, no thermal factor.

Structure:
Cell lengths 6.6261, 6.6261, 6.6261 Å; angles 116.71, 116.71, 95.80 degrees
Sites, in units of the cell vectors:
Tb (0.1902, 0.1902, 0.0000)
Tb (0.8098, 0.8098, 0.0000)
Th (0.2500, 0.7500, 0.5000)
Th (0.7500, 0.2500, 0.5000)
Zn (0.5000, 0.5000, 0.0000)
Ga (0.2538, 0.2538, 0.5076)
Ga (0.2538, 0.7462, 0.0000)
Ga (0.7462, 0.2538, 0.0000)
Ga (0.7462, 0.7462, 0.4924)

Main lines, sorted by position (2θ from 15° to 90°):
d 3.477, I = 33
d 3.296, I = 16
d 2.738, I = 100
d 2.725, I = 16
d 2.458, I = 58
d 2.144, I = 15
d 1.738, I = 21
d 1.648, I = 19
d 1.467, I = 35
d 1.229, I = 17



Starting from the PBE geometry in Alexandria, the X-ray diffraction stick pattern of Tb5Tl2Ga was simulated for Cu Kα, 1.54184 Å.
Kinematic intensities with the Lorentz-polarization factor, no thermal factor.

Structure:
Cell lengths 6.8518, 12.8851, 5.0599 Å; angles 90.00, 90.00, 90.00 degrees
Sites, in units of the cell vectors:
Tb (0.0000, 0.0000, 0.0000)
Tb (0.1361, 0.2800, 0.0000)
Tb (0.1653, 0.5937, 0.5000)
Tb (0.3347, 0.0937, 0.5000)
Tb (0.3639, 0.7800, 0.0000)
Tb (0.5000, 0.5000, 0.0000)
Tb (0.6361, 0.2200, 0.0000)
Tb (0.6653, 0.9063, 0.5000)
Tb (0.8347, 0.4063, 0.5000)
Tb (0.8639, 0.7200, 0.0000)
Tl (0.1141, 0.8449, 0.5000)
Tl (0.3859, 0.3449, 0.5000)
Tl (0.6141, 0.6551, 0.5000)
Tl (0.8859, 0.1551, 0.5000)
Ga (0.0000, 0.5000, 0.0000)
Ga (0.5000, 0.0000, 0.0000)

Main lines, sorted by position (2θ from 15° to 90°):
d 2.954, I = 40
d 2.915, I = 27
d 2.770, I = 100
d 2.717, I = 73
d 2.678, I = 28
d 2.596, I = 17
d 2.530, I = 56
d 1.910, I = 17
d 1.839, I = 19
d 1.503, I = 16



Starting from the PBE geometry in Alexandria, the X-ray diffraction stick pattern of Tb5Tl4Ga was simulated for Cu Kα, 1.54184 Å.
Kinematic intensities with the Lorentz-polarization factor, no thermal factor.

Structure:
Cell lengths 3.6928, 3.6928, 19.5848 Å; angles 90.00, 90.00, 90.00 degrees
Sites, in units of the cell vectors:
Tb (0.0000, 0.0000, 0.0000)
Tb (0.0000, 0.0000, 0.2066)
Tb (0.0000, 0.0000, 0.4114)
Tb (0.0000, 0.0000, 0.5886)
Tb (0.0000, 0.0000, 0.7934)
Tl (0.5000, 0.5000, 0.1036)
Tl (0.5000, 0.5000, 0.3081)
Tl (0.5000, 0.5000, 0.6919)
Tl (0.5000, 0.5000, 0.8964)
Ga (0.5000, 0.5000, 0.5000)

Main lines, sorted by position (2θ from 15° to 90°):
d 2.687, I = 100
d 2.611, I = 49
d 1.958, I = 9
d 1.846, I = 18
d 1.567, I = 19
d 1.522, I = 36
d 1.343, I = 10
d 1.231, I = 6
d 1.174, I = 8
d 1.168, I = 8



Starting from the PBE geometry in Alexandria, the X-ray diffraction stick pattern of Tb4TmGa was simulated for Cu Kα, 1.54184 Å.
Kinematic intensities with the Lorentz-polarization factor, no thermal factor.

Structure:
Cell lengths 8.0543, 8.0543, 6.2604 Å; angles 99.82, 99.82, 114.10 degrees
Sites, in units of the cell vectors:
Tb (0.0827, 0.7177, 0.9542)
Tb (0.1651, 0.3924, 0.6215)
Tb (0.2823, 0.9173, 0.5458)
Tb (0.3924, 0.1651, 0.1215)
Tb (0.6076, 0.8349, 0.8785)
Tb (0.7177, 0.0827, 0.4542)
Tb (0.8349, 0.6076, 0.3785)
Tb (0.9173, 0.2823, 0.0458)
Tm (0.4054, 0.5946, 0.2500)
Tm (0.5946, 0.4054, 0.7500)
Ga (0.9996, 0.0004, 0.2500)
Ga (0.0004, 0.9996, 0.7500)

Main lines, sorted by position (2θ from 15° to 90°):
d 3.379, I = 27
d 3.091, I = 43
d 3.046, I = 49
d 2.820, I = 74
d 2.739, I = 92
d 2.721, I = 19
d 2.597, I = 29
d 2.570, I = 100
d 1.758, I = 20
d 1.677, I = 27



Starting from the PBE geometry in Alexandria, the X-ray diffraction stick pattern of TbVGa6 was simulated for Cu Kα, 1.54184 Å.
Kinematic intensities with the Lorentz-polarization factor, no thermal factor.

Structure:
Cell lengths 5.2461, 5.2461, 5.9409 Å; angles 90.09, 90.09, 119.95 degrees
Sites, in units of the cell vectors:
Tb (0.0000, 0.0000, 0.0000)
V (0.0000, 0.0000, 0.5000)
Ga (0.0002, 0.5003, 0.2712)
Ga (0.9998, 0.4997, 0.7288)
Ga (0.5003, 0.0002, 0.2712)
Ga (0.4997, 0.9998, 0.7288)
Ga (0.5000, 0.5000, 0.2725)
Ga (0.5000, 0.5000, 0.7275)

Main lines, sorted by position (2θ from 15° to 90°):
d 3.609, I = 26
d 2.486, I = 75
d 2.272, I = 100
d 1.968, I = 19
d 1.964, I = 19
d 1.489, I = 10
d 1.486, I = 26
d 1.312, I = 16
d 1.242, I = 15
d 1.136, I = 10



Starting from the PBE geometry in Alexandria, the X-ray diffraction stick pattern of Tb3YGa4 was simulated for Cu Kα, 1.54184 Å.
Kinematic intensities with the Lorentz-polarization factor, no thermal factor.

Structure:
Cell lengths 8.7898, 8.7898, 8.7898 Å; angles 33.48, 33.48, 33.48 degrees
Sites, in units of the cell vectors:
Tb (0.0000, 0.0000, 0.0000)
Tb (0.2499, 0.2499, 0.2499)
Tb (0.7501, 0.7501, 0.7501)
Y (0.5000, 0.5000, 0.5000)
Ga (0.1251, 0.1251, 0.1251)
Ga (0.3750, 0.3750, 0.3750)
Ga (0.6250, 0.6250, 0.6250)
Ga (0.8749, 0.8749, 0.8749)

Main lines, sorted by position (2θ from 15° to 90°):
d 3.583, I = 12
d 2.534, I = 100
d 1.792, I = 18
d 1.602, I = 5
d 1.465, I = 9
d 1.462, I = 27
d 1.268, I = 6
d 1.266, I = 5
d 1.134, I = 8
d 1.133, I = 8